For Ca2Sn, a DFT-relaxed cell (PBE, the Materials Project) gives the theoretical powder diffraction line list in this record (Cu Ka).
No peak broadening, texture or thermal motion is included.

The 8 most intense peaks (15° ≤ 2θ ≤ 90°), most intense first:
d_spacing	2θ (°)	Rel. int.
2.971	30.1	100
2.712	33.0	65
4.110	21.6	52
3.909	22.8	49
2.542	35.3	49
2.237	40.3	35
3.958	22.5	30
2.313	38.9	30

Structural model:
```
data_Ca2Sn
_chemical_formula_sum 'Ca8 Sn4'
_cell_length_a 7.916
_cell_length_b 5.084
_cell_length_c 9.617
_cell_angle_alpha 90.00
_cell_angle_beta 90.00
_cell_angle_gamma 90.00
_symmetry_space_group_name_H-M 'P n m a'
_symmetry_Int_Tables_number 62
_symmetry_space_group_name_Hall '-P 2ac 2n'
loop_
_atom_site_label
_atom_site_type_symbol
_atom_site_fract_x
_atom_site_fract_y
_atom_site_fract_z
Ca1 Ca 0.023 0.250 0.185
Ca2 Ca 0.158 0.250 0.570
Sn1 Sn 0.249 0.250 0.891
```